Record 1
Structure and theoretical PXRD pattern of Ba2ScAlO5 (DFT lattice parameters and positions (GGA-PBE); Cu Kα (weighted mean of Kα1 and Kα2)).
Neutral-atom scattering factors, no anomalous dispersion.

Structural model:
Unit cell a=10.224 b=5.820 c=14.611 alpha=90.00 beta=90.01 gamma=90.00
Space group Cm (No. 8)
One atom of each set of equivalent atoms:
Ba 0.000 0.000 0.000 [2 per cell]
Ba 0.001 0.000 0.303 [2 per cell]
Ba 0.164 0.500 0.655 [2 per cell]
Ba 0.183 0.500 0.153 [2 per cell]
Ba 0.333 0.000 0.460 [2 per cell]
Ba 0.337 0.000 0.834 [2 per cell]
Sc 0.007 0.000 0.540 [2 per cell]
Sc 0.166 0.500 0.912 [2 per cell]
Sc 0.170 0.500 0.391 [2 per cell]
Al 0.022 0.000 0.771 [2 per cell]
Al 0.355 0.000 0.245 [2 per cell]
Al 0.356 0.000 0.054 [2 per cell]
O 0.007 0.500 0.308 [2 per cell]
O 0.010 0.500 0.994 [2 per cell]
O 0.077 0.259 0.476 [4 per cell]
O 0.082 0.251 0.826 [4 per cell]
O 0.099 0.000 0.662 [2 per cell]
O 0.259 0.232 0.311 [4 per cell]
O 0.264 0.235 0.986 [4 per cell]
O 0.321 0.500 0.503 [2 per cell]
O 0.349 0.500 0.777 [2 per cell]
O 0.385 0.213 0.149 [4 per cell]

Most intense lines, 10 to 90 degrees two-theta, sorted by position:
2θ (°)  d [Å]  intensity
21.37  4.158  44
25.26  3.526  26
25.39  3.508  39
30.07  2.972  34
30.18  2.961  60
30.39  2.941  100
30.72  2.910  48
35.46  2.531  23
40.18  2.244  36
43.53  2.079  33
53.76  1.705  22
54.42  1.686  18

***

Record 2
Structure and theoretical PXRD pattern of BaAl2Si2O8 (DFT lattice parameters and positions (GGA-PBE); Cu Kα (weighted mean of Kα1 and Kα2)).
Neutral-atom scattering factors, no anomalous dispersion.

Structural model:
Unit cell a=5.3450 b=5.3450 c=7.9633 alpha=90.00 beta=90.00 gamma=120.00
Space group P-3 (No. 147)
One atom of each set of equivalent atoms:
Ba 0.0000 0.0000 0.0000 [1 per cell]
Al 0.3333 0.6667 0.2969 [2 per cell]
Si 0.3333 0.6667 0.7135 [2 per cell]
O 0.0112 0.5736 0.7904 [6 per cell]
O 0.3333 0.6667 0.5126 [2 per cell]

Most intense lines, 10 to 90 degrees two-theta, sorted by position:
2θ (°)  d [Å]  intensity
11.11  7.963  26
22.21  4.002  100
29.59  3.019  70
33.53  2.673  40
39.12  2.303  15
40.61  2.222  35
48.33  1.883  21
53.63  1.709  19
57.54  1.602  19
57.75  1.597  12
59.95  1.543  10
71.97  1.312  9

***

Record 3
Structure and theoretical PXRD pattern of BaAl2Si3O14 (DFT lattice parameters and positions (GGA-PBE); Cu Kα (weighted mean of Kα1 and Kα2)).
Neutral-atom scattering factors, no anomalous dispersion.

Structural model:
Unit cell a=9.513 b=9.889 c=6.741 alpha=90.00 beta=90.00 gamma=90.00
Space group P2_12_12 (No. 18)
One atom of each set of equivalent atoms:
Ba 0.000 0.000 0.052 [2 per cell]
Al 0.097 0.664 0.870 [4 per cell]
Si 0.000 0.500 0.487 [2 per cell]
Si 0.172 0.403 0.117 [4 per cell]
O 0.012 0.102 0.479 [4 per cell]
O 0.050 0.303 0.026 [4 per cell]
O 0.050 0.623 0.628 [4 per cell]
O 0.101 0.841 0.440 [4 per cell]
O 0.130 0.453 0.341 [4 per cell]
O 0.177 0.825 0.874 [4 per cell]
O 0.203 0.535 0.974 [4 per cell]

Most intense lines, 10 to 90 degrees two-theta, sorted by position:
2θ (°)  d [Å]  intensity
13.13  6.741  99
17.94  4.944  51
18.46  4.807  92
18.66  4.756  67
24.20  3.677  24
24.61  3.617  28
26.44  3.371  44
29.23  3.055  22
29.56  3.022  80
31.65  2.827  100
32.51  2.754  79
41.74  2.164  25

***

Record 4
Structure and theoretical PXRD pattern of BaAl2Si2O8 (DFT lattice parameters and positions (GGA-PBE); Cu Kα (weighted mean of Kα1 and Kα2)).
Neutral-atom scattering factors, no anomalous dispersion.

Structural model:
Unit cell a=5.4187 b=5.4187 c=7.9187 alpha=90.00 beta=90.00 gamma=120.00
Space group P-3m1 (No. 164)
One atom of each set of equivalent atoms:
Ba 0.0000 0.0000 0.0000 [1 per cell]
Al 0.3333 0.6667 0.7030 [2 per cell]
Si 0.3333 0.6667 0.2834 [2 per cell]
O 0.0093 0.5047 0.2048 [6 per cell]
O 0.3333 0.6667 0.4861 [2 per cell]

Most intense lines, 10 to 90 degrees two-theta, sorted by position:
2θ (°)  d [Å]  intensity
11.17  7.919  29
22.02  4.037  100
29.52  3.026  75
33.06  2.709  44
38.36  2.346  12
39.16  2.301  17
40.08  2.250  31
48.13  1.891  20
52.90  1.731  18
56.88  1.619  22
57.67  1.598  12
71.93  1.313  11

***

Record 5
Structure and theoretical PXRD pattern of BaAl2Si2O8 (DFT lattice parameters and positions (GGA-PBE); Cu Kα (weighted mean of Kα1 and Kα2)).
Neutral-atom scattering factors, no anomalous dispersion.

Structural model:
Unit cell a=8.673 b=9.715 c=9.208 alpha=90.00 beta=90.16 gamma=90.00
Space group P2_1/c (No. 14)
One atom of each set of equivalent atoms:
Ba 0.249 0.087 0.101 [4 per cell]
Al 0.072 0.693 0.065 [4 per cell]
Al 0.430 0.080 0.722 [4 per cell]
Si 0.063 0.085 0.730 [4 per cell]
Si 0.441 0.699 0.070 [4 per cell]
O 0.003 0.571 0.193 [4 per cell]
O 0.045 0.637 0.633 [4 per cell]
O 0.050 0.186 0.589 [4 per cell]
O 0.241 0.089 0.791 [4 per cell]
O 0.265 0.667 0.022 [4 per cell]
O 0.441 0.187 0.569 [4 per cell]
O 0.457 0.641 0.630 [4 per cell]
O 0.500 0.089 0.305 [4 per cell]

Most intense lines, 10 to 90 degrees two-theta, sorted by position:
2θ (°)  d [Å]  intensity
13.25  6.683  29
13.69  6.470  32
21.86  4.066  100
23.10  3.850  76
24.47  3.638  65
29.25  3.053  30
29.44  3.034  52
29.76  3.002  28
32.29  2.773  49
33.81  2.652  42
37.50  2.398  26
40.51  2.227  28

***

Record 6
Structure and theoretical PXRD pattern of BaAl2Si2O8 (DFT lattice parameters and positions (GGA-PBE); Cu Kα (weighted mean of Kα1 and Kα2)).
Neutral-atom scattering factors, no anomalous dispersion.

Structural model:
Unit cell a=13.466 b=13.216 c=8.749 alpha=90.00 beta=100.97 gamma=90.00
Space group C2/c (No. 15)
One atom of each set of equivalent atoms:
Ba 0.186 0.250 0.217 [8 per cell]
Al 0.076 0.128 0.535 [8 per cell]
Al 0.133 0.433 0.891 [8 per cell]
Si 0.076 0.365 0.526 [8 per cell]
Si 0.141 0.069 0.902 [8 per cell]
O 0.047 0.371 0.989 [8 per cell]
O 0.056 0.121 0.989 [8 per cell]
O 0.107 0.250 0.477 [8 per cell]
O 0.117 0.436 0.398 [8 per cell]
O 0.129 0.054 0.404 [8 per cell]
O 0.135 0.386 0.704 [8 per cell]
O 0.140 0.113 0.728 [8 per cell]
O 0.250 0.112 0.003 [8 per cell]

Most intense lines, 10 to 90 degrees two-theta, sorted by position:
2θ (°)  d [Å]  intensity
13.40  6.609  64
18.99  4.673  34
23.10  3.850  34
24.72  3.601  45
25.32  3.518  76
26.23  3.398  100
26.82  3.324  33
29.15  3.064  58
30.24  2.956  34
31.84  2.810  43
34.21  2.621  26
34.24  2.619  44